This entry pairs a crystal structure of Rb3Pm3USe8 with its theoretical powder XRD pattern. Radiation: Cu Ka. Structure: a crystal structure in Alexandria, relaxed with GGA-PBE.

The 10 most intense peaks (5 to 70 degrees two-theta), sorted by position:
(hkl), 2theta, I/Imax
0 0 1, 10.85, 52
2 0 2, 28.09, 100
2 2 -1, 35.25, 19
2 2 4, 38.11, 33
4 2 2, 42.10, 36
4 2 1, 43.61, 11
2 0 -3, 47.65, 11
0 4 0, 51.36, 12
4 2 6, 62.87, 10
2 6 4, 68.49, 10

Structure:
abc: 8.5749 8.5888 9.5386
angles: 63.31 63.30 60.06
Space group P-1 (No. 2)
Symmetry-distinct sites (fractional):
1 Rb 0.0000 0.0000 0.0000 x1
2 Rb 0.0000 0.5000 0.0000 x1
3 Rb 0.5000 0.0000 0.0000 x1
4 Pm 0.0000 0.5000 0.5000 x1
5 Pm 0.5000 0.0000 0.5000 x1
6 Pm 0.5000 0.5000 0.5000 x1
7 U 0.0000 0.0000 0.5000 x1
8 Se 0.2247 0.2255 0.3084 x2
9 Se 0.2246 0.7414 0.3081 x2
10 Se 0.2587 0.7749 0.6921 x2
11 Se 0.2675 0.2668 0.6993 x2

***

This entry pairs a crystal structure of Li3AcGe3 with its theoretical powder XRD pattern. Radiation: Cu Ka. Structure: a crystal structure in Alexandria, relaxed with GGA-PBE.

The 10 most intense peaks (5 to 70 degrees two-theta), sorted by position:
(hkl), 2theta, I/Imax
1 0 0, 10.27, 100
1 1 0, 17.84, 18
1 0 1, 24.26, 22
2 1 0, 27.40, 16
2 0 1, 30.28, 27
3 0 0, 31.15, 17
2 1 1, 35.36, 58
3 1 1, 44.00, 19
1 4 0, 48.45, 13
5 2 0, 68.00, 14

Structure:
abc: 9.9457 9.9457 4.0541
angles: 90.00 90.00 120.00
Space group P6_3/m (No. 176)
Symmetry-distinct sites (fractional):
1 Li 0.0955 0.7578 0.2500 x6
2 Ac 0.3333 0.6667 0.7500 x2
3 Ge 0.0432 0.4483 0.2500 x6

***

This entry pairs a crystal structure of Hg with its theoretical powder XRD pattern. Radiation: Cu Ka. Structure: a crystal structure in Alexandria, relaxed with GGA-PBE.

The 10 most intense peaks (5 to 70 degrees two-theta), sorted by position:
(hkl), 2theta, I/Imax
1 3 3, 28.42, 23
2 4 2, 30.04, 29
0 6 2, 30.56, 88
0 0 4, 31.28, 38
3 4 0, 33.23, 30
3 2 2, 33.45, 100
2 6 2, 36.03, 76
2 0 4, 36.67, 37
4 0 0, 37.75, 25
3 8 4, 56.34, 25

Structure:
abc: 9.5239 20.4221 11.4393
angles: 90.00 90.00 90.00
Space group Ama2 (No. 40)
Symmetry-distinct sites (fractional):
1 Hg 0.0000 0.0000 0.0405 x4
2 Hg 0.0000 0.0000 0.5590 x4
3 Hg 0.0410 0.1591 0.5000 x8
4 Hg 0.0660 0.1620 0.9959 x8
5 Hg 0.0681 0.2707 0.2452 x8
6 Hg 0.0784 0.4057 0.7500 x8
7 Hg 0.0872 0.4282 0.2942 x8
8 Hg 0.2500 0.0156 0.3934 x4
9 Hg 0.2500 0.1131 0.7351 x4
10 Hg 0.2500 0.1378 0.2324 x4
11 Hg 0.2500 0.2797 0.8668 x4
12 Hg 0.2500 0.2848 0.5626 x4

***

This entry pairs a crystal structure of Nd2GePt3 with its theoretical powder XRD pattern. Radiation: Cu Ka. Structure: a crystal structure in Alexandria, relaxed with GGA-PBE.

The 10 most intense peaks (5 to 70 degrees two-theta), sorted by position:
(hkl), 2theta, I/Imax
1 0 0, 23.25, 23
1 0 2, 32.61, 43
1 1 1, 33.10, 100
0 1 3, 40.00, 59
0 2 0, 41.22, 30
2 0 0, 47.53, 21
1 0 4, 52.20, 14
1 2 2, 53.53, 22
2 1 3, 63.82, 34
2 2 0, 64.70, 16

Structure:
abc: 3.8256 4.3799 7.8860
angles: 90.00 90.00 90.00
Space group Pmm2 (No. 25)
Symmetry-distinct sites (fractional):
1 Nd 0.0000 0.0000 0.0000 x1
2 Nd 0.0000 0.5000 0.4723 x1
3 Ge 0.5000 0.5000 0.8115 x1
4 Pt 0.5000 0.0000 0.3281 x1
5 Pt 0.5000 0.0000 0.6693 x1
6 Pt 0.5000 0.5000 0.1263 x1